For PrB4ClO8, a cell relaxed with PBE gives the computed powder X-ray diffraction pattern in this record (Cu Kα (λ = 1.5418 Å)).

Largest 6 diffraction maxima, low angle first, 5 to 70 degrees two-theta:
2θ = 15.59°, intensity 67, (0 2 0)
2θ = 16.42°, intensity 100, (1 1 -1)
2θ = 18.90°, intensity 79, (0 0 2)
2θ = 20.59°, intensity 46, (1 1 1)
2θ = 29.01°, intensity 36, (1 1 -3)
2θ = 41.85°, intensity 39, (3 1 -1)

Cell and atoms:
Cell lengths 6.613, 11.370, 9.810 Å; angles 90.00, 106.78, 90.00 degrees
Space group Cc (No. 9)
Symmetry-distinct sites (fractional):
Pr (0.000, 0.205, 0.000)
B (0.034, 0.466, 0.567)
B (0.101, 0.254, 0.642)
B (0.189, 0.054, 0.577)
B (0.353, 0.404, 0.122)
Cl (0.149, 0.181, 0.304)
O (0.115, 0.261, 0.793)
O (0.127, 0.427, 0.061)
O (0.152, 0.365, 0.585)
O (0.255, 0.166, 0.616)
O (0.319, 0.036, 0.053)
O (0.381, 0.283, 0.076)
O (0.417, 0.405, 0.278)
O (0.488, 0.485, 0.067)

***

For PrB2ClO4, a cell relaxed with PBE gives the computed powder X-ray diffraction pattern in this record (Cu Kα (λ = 1.5418 Å)).

Largest 6 diffraction maxima, low angle first, 5 to 70 degrees two-theta:
2θ = 14.20°, intensity 100, (0 1 0)
2θ = 21.89°, intensity 64, (0 0 2)
2θ = 24.24°, intensity 42, (1 0 -1)
2θ = 25.43°, intensity 30, (1 1 -1)
2θ = 33.54°, intensity 29, (1 2 -1)
2θ = 42.50°, intensity 45, (2 1 0)

Cell and atoms:
Cell lengths 4.256, 6.602, 8.199 Å; angles 82.26, 89.15, 72.44 degrees
Space group P-1 (No. 2)
Symmetry-distinct sites (fractional):
Pr (0.200, 0.037, 0.221)
B (0.170, 0.346, 0.851)
B (0.431, 0.441, 0.196)
Cl (0.149, 0.197, 0.545)
O (0.093, 0.467, 0.180)
O (0.161, 0.152, 0.922)
O (0.374, 0.761, 0.790)
O (0.483, 0.369, 0.816)

***

For Zn3B7ClO13, a cell relaxed with PBE gives the computed powder X-ray diffraction pattern in this record (Cu Kα (λ = 1.5418 Å)).

Largest 6 diffraction maxima, low angle first, 5 to 70 degrees two-theta:
2θ = 20.53°, intensity 29, (1 0 4)
2θ = 25.21°, intensity 64, (0 0 6)
2θ = 29.21°, intensity 100, (0 2 4)
2θ = 32.76°, intensity 53, (1 2 2)
2θ = 41.73°, intensity 28, (2 0 8)
2θ = 49.40°, intensity 42, (0 2 10)

Cell and atoms:
Cell lengths 8.6364, 8.6364, 21.2312 Å; angles 90.00, 90.00, 120.00 degrees
Space group R3c (No. 161, hexagonal axes)
Symmetry-distinct sites (fractional):
Zn (0.0422, 0.5203, 0.0000)
B (0.0000, 0.0000, 0.1102)
B (0.0048, 0.5015, 0.2564)
B (0.1016, 0.2038, 0.4778)
Cl (0.0000, 0.0000, 0.2766)
O (0.0000, 0.0000, 0.4947)
O (0.0008, 0.1600, 0.6127)
O (0.0227, 0.2233, 0.9191)
O (0.0272, 0.4399, 0.6948)
O (0.0710, 0.3766, 0.1363)

***

For TaBPCl2, a cell relaxed with PBE gives the computed powder X-ray diffraction pattern in this record (Cu Kα (λ = 1.5418 Å)).

Largest 6 diffraction maxima, low angle first, 5 to 70 degrees two-theta:
2θ = 17.96°, intensity 59, (0 0 1)
2θ = 18.48°, intensity 100, (1 0 0)
2θ = 25.89°, intensity 53, (1 0 1)
2θ = 37.47°, intensity 35, (2 0 0)
2θ = 41.11°, intensity 26, (1 0 2)
2θ = 41.85°, intensity 27, (2 0 1)

Cell and atoms:
Cell lengths 4.800, 4.800, 4.938 Å; angles 90.00, 90.00, 90.00 degrees
Space group P4/mmm (No. 123)
Symmetry-distinct sites (fractional):
Ta (0.000, 0.000, 0.000)
B (0.500, 0.500, 0.500)
P (0.000, 0.000, 0.500)
Cl (0.000, 0.500, 0.000)

***

For Pr4B2Cl5, a cell relaxed with PBE gives the computed powder X-ray diffraction pattern in this record (Cu Kα (λ = 1.5418 Å)).

Largest 6 diffraction maxima, low angle first, 5 to 70 degrees two-theta:
2θ = 12.13°, intensity 54, (0 1 1)
2θ = 18.26°, intensity 43, (0 1 3)
2θ = 26.61°, intensity 53, (1 1 2)
2θ = 29.10°, intensity 67, (0 0 6)
2θ = 31.97°, intensity 100, (1 2 1)
2θ = 40.16°, intensity 66, (1 2 5)

Cell and atoms:
Cell lengths 4.037, 7.950, 18.415 Å; angles 90.00, 90.00, 90.00 degrees
Space group Immm (No. 71)
Symmetry-distinct sites (fractional):
Pr (0.000, 0.000, 0.174)
Pr (0.000, 0.284, 0.500)
B (0.000, 0.000, 0.043)
Cl (0.000, 0.242, 0.330)
Cl (0.000, 0.500, 0.000)

***

For Pr8B7Cl7, a cell relaxed with PBE gives the computed powder X-ray diffraction pattern in this record (Cu Kα (λ = 1.5418 Å)).

Largest 6 diffraction maxima, low angle first, 5 to 70 degrees two-theta:
2θ = 27.27°, intensity 41, (2 0 1)
2θ = 27.74°, intensity 100, (-2 1 3)
2θ = 28.02°, intensity 43, (0 1 4)
2θ = 31.36°, intensity 37, (0 0 5)
2θ = 31.77°, intensity 71, (2 1 0)
2θ = 34.40°, intensity 64, (2 -3 2)

Cell and atoms:
Cell lengths 7.786, 9.234, 14.446 Å; angles 91.01, 97.82, 114.92 degrees
Space group P-1 (No. 2)
Symmetry-distinct sites (fractional):
Pr (0.020, 0.166, 0.302)
Pr (0.102, 0.720, 0.466)
Pr (0.216, 0.585, 0.248)
Pr (0.217, 0.722, 0.921)
Pr (0.258, 0.415, 0.753)
Pr (0.293, 0.292, 0.088)
Pr (0.406, 0.295, 0.532)
Pr (0.454, 0.834, 0.699)
B (0.071, 0.575, 0.631)
B (0.132, 0.638, 0.750)
B (0.174, 0.463, 0.433)
B (0.245, 0.537, 0.567)
B (0.327, 0.426, 0.376)
B (0.380, 0.376, 0.270)
B (0.464, 0.574, 0.624)
Cl (0.000, 0.000, 0.500)
Cl (0.046, 0.365, 0.932)
Cl (0.073, 0.959, 0.894)
Cl (0.139, 0.883, 0.289)
Cl (0.368, 0.130, 0.708)
Cl (0.415, 0.039, 0.105)
Cl (0.471, 0.643, 0.069)
Cl (0.500, 0.000, 0.500)

***

For Rb2BRhCl6, a cell relaxed with PBE gives the computed powder X-ray diffraction pattern in this record (Cu Kα (λ = 1.5418 Å)).

Largest 6 diffraction maxima, low angle first, 5 to 70 degrees two-theta:
2θ = 15.58°, intensity 43, (1 0 1)
2θ = 24.81°, intensity 89, (1 1 2)
2θ = 31.43°, intensity 100, (2 0 2)
2θ = 31.82°, intensity 52, (0 0 4)
2θ = 38.63°, intensity 62, (2 2 0)
2θ = 50.89°, intensity 47, (2 2 4)

Cell and atoms:
Cell lengths 6.592, 6.592, 11.249 Å; angles 90.00, 90.00, 90.00 degrees
Space group I4/mmm (No. 139)
Symmetry-distinct sites (fractional):
Rb (0.000, 0.500, 0.250)
B (0.000, 0.000, 0.000)
Rh (0.000, 0.000, 0.500)
Cl (0.000, 0.000, 0.288)
Cl (0.225, 0.225, 0.000)